Structure and computed X-ray diffraction stick pattern of PaCoBi (DFT lattice parameters and positions (PBE); Cu Kα).

Atomic structure:
```
3
Lattice="4.2001 0.0000 0.0000 -2.1001 3.6374 0.0000 0.0000 0.0000 4.4550" Properties=species:S:1:pos:R:3 pbc="T T T"
Pa 0.0000 0.0000 0.0000
Co 0.0000 2.4249 1.1938
Bi 2.1001 1.2125 2.2652
```

Peak list (10 most intense, 5 to 70 degrees two-theta, low angle first)
Position (°2θ)	I/Imax	hkl
24.47	15	1 0 0
31.76	100	0 1 1
40.50	8	0 0 2
43.07	37	1 1 0
47.89	18	1 0 2
50.16	2	2 0 0
54.50	23	2 0 1
60.60	16	1 1 2
66.35	7	0 2 2
68.21	13	1 0 3